Calculated XRD peak list
Compound: Li5Mn8B8O24
Radiation: Cu Kα, 1.54184 Å
Structure: the GGA+U geometry in the Materials Project

```
Li5Mn8B8O24
1.0
5.2948 0.0000 0.0000
-0.0101 9.1542 0.0000
-0.1543 -0.3468 10.3617
Li Mn B O
5 8 8 24
direct
0.0000 0.0000 0.0000 Li
0.0280 0.9829 0.5110 Li
0.1727 0.1504 0.7714 Li
0.4878 0.4990 0.0271 Li
0.5254 0.4942 0.4927 Li
0.0111 0.3132 0.5365 Mn
0.1368 0.4830 0.2914 Mn
0.1564 0.8025 0.7897 Mn
0.5158 0.8358 0.5451 Mn
0.5182 0.1590 0.0385 Mn
0.6675 0.3428 0.7889 Mn
0.6854 0.9765 0.2832 Mn
0.9925 0.6642 0.0446 Mn
0.0039 0.6546 0.5346 B
0.0057 0.3212 0.0486 B
0.1536 0.4822 0.8097 B
0.1970 0.8138 0.3102 B
0.4977 0.8238 0.0373 B
0.5067 0.1559 0.5531 B
0.6629 0.9971 0.7945 B
0.6637 0.3120 0.2876 B
0.0029 0.6024 0.8425 O
0.0437 0.3585 0.7468 O
0.0493 0.9316 0.3273 O
0.1129 0.6885 0.2428 O
0.1261 0.4484 0.1005 O
0.1368 0.1951 0.0271 O
0.1392 0.5318 0.4844 O
0.1465 0.7759 0.5807 O
0.2467 0.8399 0.9962 O
0.2522 0.1361 0.5694 O
0.4016 0.4828 0.8421 O
0.4484 0.8137 0.3593 O
0.5110 0.4263 0.3134 O
0.5164 0.8882 0.7320 O
0.5265 0.1196 0.8461 O
0.5732 0.1825 0.2238 O
0.6104 0.6939 0.0533 O
0.6205 0.2910 0.5815 O
0.6416 0.9524 0.0681 O
0.6613 0.0388 0.5113 O
0.7490 0.6555 0.5405 O
0.7500 0.3339 0.0139 O
0.9184 0.9909 0.8058 O
0.9188 0.3114 0.3285 O
```

Largest 6 diffraction maxima, by angle, 2θ from 15° to 90°:
- 2θ 19.4, I 100
- 2θ 21.2, I 43
- 2θ 21.5, I 69
- 2θ 25.6, I 60
- 2θ 33.9, I 84
- 2θ 34.6, I 80

=====

Calculated XRD peak list
Compound: BaV10O15
Radiation: Cu Kα, 1.54184 Å
Structure: the GGA+U geometry in the Materials Project

```
BaV10O15
1.0
5.9092 -5.1819 0.0000
5.9092 5.1819 0.0000
0.0000 0.0000 9.7253
Ba V O
2 20 30
direct
0.0000 0.0000 0.0000 Ba
0.5000 0.5000 0.5000 Ba
0.0399 0.2147 0.6411 V
0.0799 0.4083 0.1199 V
0.0917 0.4201 0.3801 V
0.1802 0.8198 0.6350 V
0.2147 0.0399 0.3589 V
0.2853 0.4601 0.8589 V
0.3198 0.6802 0.1350 V
0.4083 0.0799 0.8801 V
0.4201 0.0917 0.6199 V
0.4601 0.2853 0.1411 V
0.5399 0.7147 0.8589 V
0.5799 0.9083 0.3801 V
0.5917 0.9201 0.1199 V
0.6802 0.3198 0.8650 V
0.7147 0.5399 0.1411 V
0.7853 0.9601 0.6411 V
0.8198 0.1802 0.3650 V
0.9083 0.5799 0.6199 V
0.9201 0.5917 0.8801 V
0.9601 0.7853 0.3589 V
0.0000 0.0000 0.5000 O
0.0395 0.2106 0.2591 O
0.0742 0.4258 0.7500 O
0.1137 0.6372 0.4977 O
0.1372 0.6137 0.9977 O
0.1583 0.8417 0.2462 O
0.2106 0.0395 0.7409 O
0.2389 0.2389 0.5000 O
0.2611 0.2611 0.0000 O
0.2894 0.4605 0.2409 O
0.3417 0.6583 0.7462 O
0.3628 0.8863 0.4977 O
0.3863 0.8628 0.9977 O
0.4258 0.0742 0.2500 O
0.4605 0.2894 0.7591 O
0.5000 0.5000 0.0000 O
0.5395 0.7106 0.2409 O
0.5742 0.9258 0.7500 O
0.6137 0.1372 0.0023 O
0.6372 0.1137 0.5023 O
0.6583 0.3417 0.2538 O
0.7106 0.5395 0.7591 O
0.7389 0.7389 0.0000 O
0.7611 0.7611 0.5000 O
0.7894 0.9605 0.2591 O
0.8417 0.1583 0.7538 O
0.8628 0.3863 0.0023 O
0.8863 0.3628 0.5023 O
0.9258 0.5742 0.2500 O
0.9605 0.7894 0.7409 O
```

Largest 6 diffraction maxima, by angle, 2θ from 15° to 90°:
- 2θ 25.9, I 66
- 2θ 28.4, I 62
- 2θ 29.9, I 100
- 2θ 39.7, I 75
- 2θ 45.1, I 64
- 2θ 62.3, I 59

=====

Calculated XRD peak list
Compound: ZnNi2P2O9
Radiation: Cu Kα, 1.54184 Å
Structure: the GGA+U geometry in the Materials Project

```
ZnNi2P2O9
1.0
14.4412 0.0000 0.0000
0.0000 6.2346 0.0000
0.0000 0.0000 6.9544
Zn Ni P O
4 8 8 36
direct
0.2268 0.2500 0.1140 Zn
0.2732 0.7500 0.6140 Zn
0.7268 0.2500 0.3860 Zn
0.7732 0.7500 0.8860 Zn
0.0000 0.0000 0.0000 Ni
0.0000 0.5000 0.0000 Ni
0.1259 0.2500 0.6395 Ni
0.3741 0.7500 0.1395 Ni
0.5000 0.0000 0.5000 Ni
0.5000 0.5000 0.5000 Ni
0.6259 0.2500 0.8605 Ni
0.8741 0.7500 0.3605 Ni
0.0725 0.7500 0.6312 P
0.1971 0.7500 0.1162 P
0.3029 0.2500 0.6162 P
0.4275 0.2500 0.1312 P
0.5725 0.7500 0.8688 P
0.6971 0.7500 0.3838 P
0.8029 0.2500 0.8838 P
0.9275 0.2500 0.3688 P
0.0006 0.7500 0.4728 O
0.0177 0.7500 0.8230 O
0.0457 0.2500 0.8465 O
0.1401 0.5386 0.1045 O
0.1401 0.9614 0.1045 O
0.1425 0.5619 0.6283 O
0.1425 0.9381 0.6283 O
0.2267 0.2500 0.4517 O
0.2424 0.2500 0.8019 O
0.2576 0.7500 0.3019 O
0.2733 0.7500 0.9517 O
0.3575 0.0619 0.1283 O
0.3575 0.4381 0.1283 O
0.3599 0.0386 0.6045 O
0.3599 0.4614 0.6045 O
0.4543 0.7500 0.3465 O
0.4823 0.2500 0.3230 O
0.4994 0.2500 0.9728 O
0.5006 0.7500 0.0272 O
0.5177 0.7500 0.6770 O
0.5457 0.2500 0.6535 O
0.6401 0.5386 0.3955 O
0.6401 0.9614 0.3955 O
0.6425 0.5619 0.8717 O
0.6425 0.9381 0.8717 O
0.7267 0.2500 0.0483 O
0.7424 0.2500 0.6981 O
0.7576 0.7500 0.1981 O
0.7733 0.7500 0.5483 O
0.8575 0.0619 0.3717 O
0.8575 0.4381 0.3717 O
0.8599 0.0386 0.8955 O
0.8599 0.4614 0.8955 O
0.9543 0.7500 0.1535 O
0.9823 0.2500 0.1770 O
0.9994 0.2500 0.5272 O
```

Largest 6 diffraction maxima, by angle, 2θ from 15° to 90°:
- 2θ 17.7, I 26
- 2θ 26.4, I 100
- 2θ 28.6, I 32
- 2θ 32.1, I 38
- 2θ 33.6, I 32
- 2θ 36.7, I 30

=====

Calculated XRD peak list
Compound: KNa3W2O17
Radiation: Cu Kα, 1.54184 Å
Structure: the GGA+U geometry in the Materials Project

```
KNa3W2O17
1.0
9.0301 0.0000 0.0000
-4.5150 7.8203 0.0000
0.0000 0.0000 11.2291
K Na W O
2 6 4 34
direct
0.0000 0.0000 0.2500 K
0.0000 0.0000 0.7500 K
0.1315 0.4523 0.2500 Na
0.3208 0.8685 0.2500 Na
0.4523 0.3208 0.7500 Na
0.5477 0.6792 0.2500 Na
0.6792 0.1315 0.7500 Na
0.8685 0.5477 0.7500 Na
0.3333 0.6667 0.5403 W
0.3333 0.6667 0.9597 W
0.6667 0.3333 0.0403 W
0.6667 0.3333 0.4597 W
0.0025 0.7609 0.5995 O
0.0025 0.7609 0.9005 O
0.0035 0.3727 0.7500 O
0.1783 0.4524 0.5916 O
0.1783 0.4524 0.9084 O
0.2391 0.2416 0.5995 O
0.2391 0.2416 0.9005 O
0.2416 0.0025 0.0995 O
0.2416 0.0025 0.4005 O
0.2741 0.8217 0.5916 O
0.2741 0.8217 0.9084 O
0.3333 0.6667 0.1212 O
0.3333 0.6667 0.3788 O
0.3692 0.9965 0.7500 O
0.3727 0.3692 0.2500 O
0.4524 0.2741 0.0916 O
0.4524 0.2741 0.4084 O
0.5476 0.7259 0.5916 O
0.5476 0.7259 0.9084 O
0.6273 0.6308 0.7500 O
0.6308 0.0035 0.2500 O
0.6667 0.3333 0.6212 O
0.6667 0.3333 0.8788 O
0.7259 0.1783 0.0916 O
0.7259 0.1783 0.4084 O
0.7584 0.9975 0.5995 O
0.7584 0.9975 0.9005 O
0.7609 0.7584 0.0995 O
0.7609 0.7584 0.4005 O
0.8217 0.5476 0.0916 O
0.8217 0.5476 0.4084 O
0.9965 0.6273 0.2500 O
0.9975 0.2391 0.0995 O
0.9975 0.2391 0.4005 O
```

Largest 6 diffraction maxima, by angle, 2θ from 15° to 90°:
- 2θ 19.5, I 44
- 2θ 19.7, I 100
- 2θ 25.3, I 70
- 2θ 26.4, I 56
- 2θ 27.8, I 36
- 2θ 53.7, I 37

=====

Calculated XRD peak list
Compound: Li3Mn2O5
Radiation: Cu Kα, 1.54184 Å
Structure: the GGA+U geometry in the Materials Project

```
Li3Mn2O5
1.0
2.9665 0.0000 0.0000
1.4748 6.2948 0.0000
0.5409 1.8008 9.7449
Li Mn O
6 4 10
direct
0.0000 0.0000 0.0000 Li
0.0707 0.8104 0.2859 Li
0.3023 0.3819 0.8973 Li
0.5000 0.0000 0.5000 Li
0.6977 0.6181 0.1027 Li
0.9293 0.1896 0.7141 Li
0.2172 0.5918 0.6037 Mn
0.3835 0.1966 0.1914 Mn
0.6165 0.8034 0.8086 Mn
0.7828 0.4082 0.3963 Mn
0.0975 0.8748 0.6684 O
0.1437 0.7079 0.9312 O
0.2069 0.4890 0.2510 O
0.3787 0.3090 0.5423 O
0.4694 0.0770 0.8448 O
0.5306 0.9230 0.1552 O
0.6213 0.6910 0.4577 O
0.7931 0.5110 0.7490 O
0.8563 0.2921 0.0688 O
0.9025 0.1252 0.3316 O
```

Largest 6 diffraction maxima, by angle, 2θ from 15° to 90°:
- 2θ 18.3, I 100
- 2θ 36.3, I 24
- 2θ 41.6, I 34
- 2θ 44.0, I 29
- 2θ 44.5, I 28
- 2θ 62.8, I 16